Theoretical powder diffraction line list of TbPm2Ho5Sc for copper Kα, from a structure optimized by DFT (GGA-PBE).
Neutral-atom scattering factors, no anomalous dispersion.

Crystal structure
```
TbPm2Ho5Sc
1.0
2.7721 -9.9330 0.0000
2.7721 9.9330 0.0000
0.0000 0.0000 10.3718
Tb Pm Ho Sc
2 4 10 2
Cartesian
2.7721 8.1352 5.1859
2.7721 -8.1352 0.0000
2.7721 2.2832 8.0590
2.7721 2.2377 3.6985
2.7721 -2.2377 8.8844
2.7721 -2.2832 2.8731
2.7721 9.5795 8.1152
2.7721 7.4627 0.6416
2.7721 5.9334 7.7326
2.7721 5.4777 3.7638
2.7721 0.3334 0.6199
2.7721 -0.3334 5.8058
2.7721 -5.4777 8.9496
2.7721 -5.9334 2.5467
2.7721 -7.4627 5.8275
2.7721 -9.5795 2.9293
2.7721 3.8946 0.5867
2.7721 -3.8946 5.7726
```

Largest 8 diffraction maxima, low angle first, 10° ≤ 2θ ≤ 90°:
two_theta	d/Å	I (rel.)
27.12	3.288	236
28.29	3.154	163
30.81	2.902	374
32.29	2.772	447
32.67	2.741	1000
34.59	2.593	116
57.83	1.594	197
62.57	1.485	135

Theoretical powder diffraction line list of Sc7Te2Ru2 for copper Kα, from a structure optimized by DFT (GGA-PBE).
Neutral-atom scattering factors, no anomalous dispersion.

Crystal structure
```
Sc7Te2Ru2
1.0
-1.8882 7.3674 4.3504
1.8882 -7.3674 4.3504
1.8882 7.3674 -4.3504
Sc Te Ru
7 2 2
Cartesian
0.0000 0.0000 0.0000
1.8882 2.7048 -1.1223
1.8882 -2.2235 2.1117
1.8882 2.2235 2.1117
1.8882 5.3843 0.7414
0.0000 4.6626 3.2280
0.0000 1.9831 5.0918
0.0000 0.0000 2.9245
0.0000 7.3674 2.0548
0.0000 3.4774 0.5549
0.0000 11.2574 0.5549
```

Largest 8 diffraction maxima, low angle first, 10° ≤ 2θ ≤ 90°:
two_theta	d/Å	I (rel.)
23.75	3.746	587
24.16	3.684	293
25.72	3.464	290
28.47	3.135	307
35.57	2.524	1000
35.96	2.497	305
36.43	2.466	394
41.11	2.196	363

Theoretical powder diffraction line list of K3Sn2S3BrO12 for copper Kα, from a structure optimized by DFT (GGA-PBE).
Neutral-atom scattering factors, no anomalous dispersion.

Crystal structure
```
K3Sn2S3BrO12
1.0
10.3200 0.0000 0.0000
0.0000 7.7874 0.0000
-5.0732 0.0000 9.1637
K Sn S Br O
6 4 6 2 24
Cartesian
-1.1958 0.0000 2.3706
-0.0967 2.0841 6.1350
0.0222 6.0923 6.0639
5.2246 2.1987 3.0998
5.3435 5.9778 3.0287
6.4426 3.8937 6.7931
1.1503 3.6684 2.4043
2.7663 7.6222 0.1237
2.4806 3.7285 9.0400
4.0966 7.5621 6.7594
-1.5817 4.0146 3.7110
-0.8969 4.2439 8.9655
2.3109 0.2871 3.4279
2.9359 4.1808 5.7359
6.1438 0.3502 0.1982
6.8286 0.1209 5.4528
-0.0770 2.1622 0.1767
5.3238 6.0558 8.9870
-0.7857 5.1861 3.2230
-1.7669 4.0784 5.1756
-0.6923 2.7896 3.4001
-2.2030 7.7871 6.1590
-1.8285 3.1859 8.5547
-1.4897 5.6005 8.6195
1.0818 0.1391 4.2191
2.3479 7.0296 2.3214
2.3675 1.6390 2.7589
1.7064 4.0109 4.9082
0.3700 4.1278 8.1190
0.7174 0.2905 7.9322
4.5294 4.1842 1.2315
4.8768 0.2341 1.0447
3.5404 0.1172 4.2556
2.8794 5.5327 6.4048
2.8989 3.1360 6.8423
4.1650 4.0328 4.9447
6.7365 1.7068 0.5442
7.0753 7.0796 0.6090
7.4498 3.8934 3.0047
5.9391 6.6833 5.7636
7.0137 0.1847 3.9882
6.0325 1.2924 5.9408
```

Largest 8 diffraction maxima, low angle first, 10° ≤ 2θ ≤ 90°:
two_theta	d/Å	I (rel.)
15.08	5.877	381
22.83	3.896	423
28.19	3.165	282
28.34	3.149	372
28.53	3.129	1000
28.73	3.107	538
28.83	3.097	446
29.24	3.055	345

Theoretical powder diffraction line list of Pm4Er2Sc for copper Kα, from a structure optimized by DFT (GGA-PBE).
Neutral-atom scattering factors, no anomalous dispersion.

Crystal structure
```
Pm4Er2Sc
1.0
0.0000 11.9388 3.1852
5.8987 0.0000 3.1852
5.8987 11.9388 0.0000
Pm Er Sc
8 4 2
Cartesian
2.0934 2.5436 1.3662
5.0427 3.4258 2.9588
3.8053 9.3952 1.3662
6.5091 10.2729 3.1852
5.2883 13.6046 3.1852
8.2376 16.2423 4.7778
6.7547 20.4518 2.9588
9.4585 19.5740 4.7778
6.1803 6.7813 2.8309
8.5664 12.7507 4.4235
5.6171 17.0962 2.8309
3.2310 11.1268 4.4235
5.8987 11.9388 0.0113
2.9494 5.9694 1.6039
```

Largest 8 diffraction maxima, low angle first, 10° ≤ 2θ ≤ 90°:
two_theta	d/Å	I (rel.)
30.68	2.914	1000
31.24	2.863	385
31.93	2.803	605
32.68	2.740	416
32.82	2.729	317
37.66	2.389	225
51.27	1.782	201
56.13	1.639	184

Theoretical powder diffraction line list of MgH8Cl2O4 for copper Kα, from a structure optimized by DFT (GGA-PBE).
Neutral-atom scattering factors, no anomalous dispersion.

Crystal structure
```
MgH8Cl2O4
1.0
7.6610 0.0000 0.0000
0.0000 8.4020 0.0000
0.0000 0.0000 10.8695
Mg H Cl O
4 32 8 16
Cartesian
0.0000 1.0316 2.7174
0.0000 7.3704 8.1521
3.8305 3.1694 8.1521
3.8305 5.2326 2.7174
0.5685 3.6948 2.1709
0.5685 4.7072 7.6057
0.5911 1.6381 7.6336
0.5911 6.7639 2.1989
1.4075 1.8259 4.9228
1.4075 6.5761 10.3576
1.5019 0.2669 4.9015
1.5019 8.1351 10.3363
2.3285 3.9341 10.3363
2.3285 4.4679 4.9015
2.4230 2.3751 10.3576
2.4230 6.0269 4.9228
3.2394 2.5629 2.1989
3.2394 5.8391 7.6336
3.2619 0.5062 7.6057
3.2619 7.8958 2.1709
4.3990 0.5062 8.6986
4.3990 7.8958 3.2638
4.4216 2.5629 3.2359
4.4216 5.8391 8.6707
5.2380 2.3751 5.9467
5.2380 6.0269 0.5120
5.3324 3.9341 5.9680
5.3324 4.4679 0.5332
6.1590 0.2669 0.5332
6.1590 8.1351 5.9680
6.2535 1.8259 0.5120
6.2535 6.5761 5.9467
7.0699 1.6381 8.6707
7.0699 6.7639 3.2359
7.0924 3.6948 3.2638
7.0924 4.7072 8.6986
1.7685 3.1858 6.5868
1.7685 5.2162 1.1521
2.0619 1.0152 1.1521
2.0619 7.3868 6.5868
5.5990 1.0152 4.2827
5.5990 7.3868 9.7174
5.8924 3.1858 9.7174
5.8924 5.2162 4.2827
0.0000 1.0416 8.1521
0.0000 3.0997 2.7174
0.0000 5.3023 8.1521
0.0000 7.3604 2.7174
1.2813 1.0437 4.3351
1.2813 7.3583 9.7698
2.5492 3.1573 9.7698
2.5492 5.2447 4.3351
3.8305 1.1013 8.1521
3.8305 3.1594 2.7174
3.8305 5.2426 8.1521
3.8305 7.3007 2.7174
5.1118 3.1573 6.5345
5.1118 5.2447 1.0997
6.3796 1.0437 1.0997
6.3796 7.3583 6.5345
```

Largest 8 diffraction maxima, low angle first, 10° ≤ 2θ ≤ 90°:
two_theta	d/Å	I (rel.)
20.03	4.433	294
22.69	3.919	423
28.51	3.131	574
32.66	2.742	1000
40.44	2.230	295
40.71	2.216	480
43.06	2.101	260
60.75	1.525	230

Theoretical powder diffraction line list of Ho7Br12N for copper Kα, from a structure optimized by DFT (GGA-PBE).
Neutral-atom scattering factors, no anomalous dispersion.

Crystal structure
```
Ho7Br12N
1.0
7.1954 4.1542 3.1925
-7.1954 4.1542 3.1925
0.0000 -8.3085 3.1925
Ho Br N
7 12 1
Cartesian
0.0000 0.0000 0.0000
-1.9072 -0.5301 3.4194
1.4127 -1.3867 3.4194
0.4945 1.9168 3.4194
-0.4945 -1.9168 6.1581
-1.4127 1.3867 6.1581
1.9072 0.5301 6.1581
-0.5833 -2.2841 1.5797
-1.6864 1.6472 1.5797
-2.8003 -2.8455 4.7660
-3.8644 1.0024 4.8115
2.2697 0.6369 1.5797
1.0641 -3.8479 4.8115
-1.0641 3.8479 4.7660
-2.2697 -0.6369 7.9979
3.8644 -1.0024 4.7660
2.8003 2.8455 4.8115
1.6864 -1.6472 7.9979
0.5833 2.2841 7.9979
0.0000 0.0000 4.7888
```

Largest 8 diffraction maxima, low angle first, 10° ≤ 2θ ≤ 90°:
two_theta	d/Å	I (rel.)
11.65	7.594	171
12.30	7.195	476
30.64	2.918	182
31.93	2.803	1000
39.40	2.287	119
45.45	1.996	329
46.12	1.968	326
56.62	1.626	147

Theoretical powder diffraction line list of Ba3Ga2Au3 for copper Kα, from a structure optimized by DFT (GGA-PBE).
Neutral-atom scattering factors, no anomalous dispersion.

Crystal structure
```
Ba3Ga2Au3
1.0
4.2534 0.0000 0.0000
-0.0005 6.0430 0.0000
-2.1219 -1.5723 9.4802
Ba Ga Au
3 2 3
Cartesian
0.0000 0.0000 0.0000
0.0043 2.9797 2.6822
2.1266 1.4910 6.7981
-0.0006 0.1409 4.3634
2.1316 4.3298 5.1169
0.0047 4.5107 6.6050
2.1264 3.0215 0.0000
2.1263 -0.0400 2.8752
```

Largest 8 diffraction maxima, low angle first, 10° ≤ 2θ ≤ 90°:
two_theta	d/Å	I (rel.)
28.21	3.164	736
29.94	2.984	522
30.60	2.922	1000
33.34	2.687	457
37.96	2.370	163
42.51	2.127	237
52.86	1.732	214
52.98	1.728	328

Theoretical powder diffraction line list of Zn2Ir for copper Kα, from a structure optimized by DFT (GGA-PBE).
Neutral-atom scattering factors, no anomalous dispersion.

Crystal structure
```
Zn2Ir
1.0
7.2543 0.0000 0.0000
-3.6272 6.2824 0.0000
0.0000 0.0000 2.9129
Zn Ir
6 3
Cartesian
-1.0580 1.8324 0.0000
-2.2366 3.8739 1.4565
2.1159 0.0000 0.0000
1.3906 2.4085 1.4565
4.4732 0.0000 1.4565
2.5692 4.4500 0.0000
0.0000 0.0000 1.4565
0.0000 4.1883 0.0000
3.6272 2.0941 0.0000
```

Largest 8 diffraction maxima, low angle first, 10° ≤ 2θ ≤ 90°:
two_theta	d/Å	I (rel.)
24.54	3.627	741
33.92	2.643	461
39.68	2.271	481
42.31	2.136	708
43.20	2.094	1000
49.53	1.841	553
73.28	1.292	339
80.29	1.196	320

Theoretical powder diffraction line list of MgSc2OF for copper Kα, from a structure optimized by DFT (GGA-PBE).
Neutral-atom scattering factors, no anomalous dispersion.

Crystal structure
```
MgSc2OF
1.0
4.1470 0.0000 0.0000
0.0000 4.1470 0.0000
0.0000 0.0000 4.9909
Mg Sc O F
1 2 1 1
Cartesian
0.0000 0.0000 0.0000
0.0000 2.0735 2.4954
2.0735 0.0000 2.4954
2.0735 2.0735 0.0000
2.0735 2.0735 2.4954
```

Largest 8 diffraction maxima, low angle first, 10° ≤ 2θ ≤ 90°:
two_theta	d/Å	I (rel.)
17.77	4.991	553
35.51	2.528	1000
35.99	2.495	440
43.65	2.074	481
57.81	1.595	373
64.39	1.447	151
74.86	1.268	187
75.16	1.264	153

Theoretical powder diffraction line list of TbSmTe2 for copper Kα, from a structure optimized by DFT (GGA-PBE).
Neutral-atom scattering factors, no anomalous dispersion.

Crystal structure
```
TbSmTe2
1.0
3.8069 -2.2147 0.0000
3.8069 2.2147 0.0000
-2.5799 0.0000 7.1832
Tb Sm Te
1 1 2
Cartesian
0.0000 0.0000 0.0000
2.5170 0.0000 3.5916
-0.0317 0.0000 5.4313
5.0658 0.0000 1.7519
```

Largest 8 diffraction maxima, low angle first, 10° ≤ 2θ ≤ 90°:
two_theta	d/Å	I (rel.)
28.64	3.117	1000
40.74	2.215	129
40.95	2.204	507
41.17	2.193	125
50.55	1.805	138
59.30	1.558	127
67.09	1.395	116
67.21	1.393	116

Theoretical powder diffraction line list of Tb3Er8Th3 for copper Kα, from a structure optimized by DFT (GGA-PBE).
Neutral-atom scattering factors, no anomalous dispersion.

Crystal structure
```
Tb3Er8Th3
1.0
-2.8006 5.3298 7.4432
2.8006 -5.3298 7.4432
2.8006 5.3298 -7.4432
Tb Er Th
3 8 3
Cartesian
0.0000 0.0000 0.0000
0.0000 3.2585 0.0000
0.0000 7.4012 0.0000
2.8006 1.6919 -1.5368
2.8006 3.6413 -4.1124
2.8006 1.6919 1.5368
0.0000 1.6885 3.3308
2.8006 3.6413 4.1124
0.0000 3.6379 5.9064
0.0000 1.6885 11.5556
0.0000 3.6379 8.9800
2.8006 0.0000 4.6859
0.0000 0.0000 7.4432
0.0000 5.3298 2.7573
```

Largest 8 diffraction maxima, low angle first, 10° ≤ 2θ ≤ 90°:
two_theta	d/Å	I (rel.)
29.31	3.047	204
30.02	2.976	307
30.95	2.889	249
31.96	2.801	502
32.17	2.783	1000
34.10	2.629	447
57.08	1.613	199
58.35	1.582	190